1.
The following is a simulated powder diffractogram of Nb. It was derived from a PBE-relaxed structure, using Cu Kα, 1.54184 Å.
Peak positions follow from Bragg's law for the DFT cell and can differ from measured ones.

Largest 4 diffraction maxima, sorted by position, 15 to 90 degrees two-theta:
- 38.34°, I 100.0
- 55.33°, I 16.8
- 69.32°, I 33.4
- 82.09°, I 10.4

Crystal structure
```
Nb
1.0
-1.660 1.660 1.660
1.660 -1.660 1.660
1.660 1.660 -1.660
Nb
1
Direct
0.000 0.000 0.000
```


2.
The following is a simulated powder diffractogram of Nb. It was derived from a PBE-relaxed structure, using Cu Kα, 1.54184 Å.
Peak positions follow from Bragg's law for the DFT cell and can differ from measured ones.

Largest 6 diffraction maxima, sorted by position, 15 to 90 degrees two-theta:
- 36.79°, I 44.2
- 37.15°, I 55.8
- 37.79°, I 53.2
- 39.49°, I 42.8
- 40.06°, I 100.0
- 40.20°, I 48.9

Crystal structure
```
Nb
1.0
5.374 0.000 0.000
-1.516 6.770 0.000
-2.293 -2.726 6.234
Nb
12
Direct
0.000 0.000 0.000
0.003 0.591 0.630
0.267 0.740 0.101
0.359 0.255 0.495
0.440 0.072 0.837
0.484 0.423 0.196
0.527 0.786 0.547
0.614 0.580 0.890
0.702 0.111 0.286
0.955 0.844 0.379
0.977 0.265 0.759
0.985 0.424 0.194
```


3.
The following is a simulated powder diffractogram of Nb. It was derived from a PBE-relaxed structure, using Cu Kα, 1.54184 Å.
Peak positions follow from Bragg's law for the DFT cell and can differ from measured ones.

Largest 6 diffraction maxima, sorted by position, 15 to 90 degrees two-theta:
- 34.04°, I 35.0
- 35.99°, I 22.5
- 39.98°, I 100.0
- 50.38°, I 16.8
- 64.94°, I 23.0
- 75.17°, I 19.7

Crystal structure
```
Nb
1.0
2.881 0.000 0.000
-1.441 2.495 0.000
0.000 0.000 5.268
Nb
2
Direct
0.333 0.667 0.250
0.667 0.333 0.750
```


4.
The following is a simulated powder diffractogram of Nb. It was derived from a PBE-relaxed structure, using Cu Kα, 1.54184 Å.
Peak positions follow from Bragg's law for the DFT cell and can differ from measured ones.

Largest 6 diffraction maxima, sorted by position, 15 to 90 degrees two-theta:
- 36.86°, I 56.3
- 38.44°, I 100.0
- 38.60°, I 49.3
- 39.17°, I 47.2
- 39.78°, I 45.4
- 54.03°, I 18.0

Crystal structure
```
Nb
1.0
2.781 0.000 0.000
0.161 4.669 0.000
0.759 1.898 9.741
Nb
7
Direct
0.000 0.000 0.000
0.147 0.718 0.571
0.277 0.422 0.143
0.439 0.150 0.714
0.561 0.850 0.286
0.723 0.578 0.857
0.853 0.282 0.429
```


5.
The following is a simulated powder diffractogram of Nb. It was derived from a PBE-relaxed structure, using Cu Kα, 1.54184 Å.
Peak positions follow from Bragg's law for the DFT cell and can differ from measured ones.

Largest 5 diffraction maxima, sorted by position, 15 to 90 degrees two-theta:
- 36.79°, I 100.0
- 42.74°, I 48.8
- 62.04°, I 31.4
- 74.36°, I 36.2
- 78.27°, I 10.4

Crystal structure
```
Nb
1.0
0.000 2.116 2.116
2.116 0.000 2.116
2.116 2.116 0.000
Nb
1
Direct
0.000 0.000 0.000
```


6.
The following is a simulated powder diffractogram of NdNb3O9. It was derived from a PBE-relaxed structure, using Cu Kα, 1.54184 Å.
Peak positions follow from Bragg's law for the DFT cell and can differ from measured ones.

Largest 6 diffraction maxima, sorted by position, 15 to 90 degrees two-theta:
- 22.43°, I 33.9
- 25.06°, I 32.1
- 31.76°, I 100.0
- 31.92°, I 50.3
- 45.77°, I 39.9
- 56.79°, I 39.7

Crystal structure
```
NdNb3O9
1.0
8.939 -3.961 0.000
8.939 3.961 0.000
-3.651 0.000 10.666
Nd Nb O
4 12 36
Direct
0.000 0.000 0.000
0.167 0.167 0.335
0.500 0.500 0.000
0.833 0.833 0.665
0.083 0.575 0.916
0.085 0.584 0.416
0.251 0.744 0.256
0.256 0.749 0.744
0.416 0.915 0.584
0.425 0.917 0.084
0.575 0.083 0.916
0.584 0.085 0.416
0.744 0.251 0.256
0.749 0.256 0.744
0.915 0.416 0.584
0.917 0.425 0.084
0.000 0.500 0.000
0.000 0.500 0.500
0.002 0.512 0.745
0.012 0.012 0.242
0.156 0.666 0.591
0.158 0.158 0.095
0.163 0.675 0.839
0.163 0.690 0.074
0.166 0.666 0.333
0.167 0.167 0.565
0.310 0.837 0.926
0.321 0.321 0.411
0.325 0.837 0.161
0.334 0.834 0.667
0.334 0.844 0.409
0.349 0.349 0.929
0.488 0.998 0.255
0.498 0.498 0.226
0.500 0.000 0.000
0.500 0.000 0.500
0.502 0.502 0.774
0.512 0.002 0.745
0.651 0.651 0.071
0.666 0.156 0.591
0.666 0.166 0.333
0.675 0.163 0.839
0.679 0.679 0.589
0.690 0.163 0.074
0.833 0.833 0.435
0.834 0.334 0.667
0.837 0.310 0.926
0.837 0.325 0.161
0.842 0.842 0.905
0.844 0.334 0.409
0.988 0.988 0.758
0.998 0.488 0.255
```